Entry 1:
The following is a computed powder X-ray diffraction pattern of Sm3YHoSc. It was derived from a DFT-relaxed cell (GGA-PBE, Alexandria), using Cu Kα.
No peak broadening, texture or thermal motion is included.

Structural model:
Unit cell a=11.207 b=11.207 c=6.567 alpha=98.55 beta=98.55 gamma=28.67
Positions (direct):
Sm 0.023 0.023 0.260
Sm 0.273 0.273 0.189
Sm 0.341 0.341 0.741
Sm 0.659 0.659 0.259
Sm 0.727 0.727 0.811
Sm 0.977 0.977 0.740
Y 0.165 0.165 0.534
Y 0.835 0.835 0.466
Ho 0.428 0.428 0.307
Ho 0.572 0.572 0.693
Sc 0.131 0.131 0.972
Sc 0.869 0.869 0.028

Largest 12 diffraction maxima, most intense first, 15 to 90 degrees two-theta:
2θ (°)  Rel. int.
31.2  100
32.8  88
32.3  64
28.1  38
34.2  37
47.7  32
27.5  28
33.4  26
20.3  25
56.8  18
42.9  18
58.8  17

***

Entry 2:
The following is a computed powder X-ray diffraction pattern of Ho3ScSn3. It was derived from a DFT-relaxed cell (GGA-PBE, Alexandria), using Cu Kα.
No peak broadening, texture or thermal motion is included.

Structural model:
Unit cell a=9.249 b=9.249 c=6.095 alpha=90.00 beta=90.00 gamma=120.00
Positions (direct):
Ho 0.033 0.691 0.250
Ho 0.309 0.342 0.250
Ho 0.342 0.033 0.750
Ho 0.658 0.967 0.250
Ho 0.691 0.658 0.750
Ho 0.967 0.309 0.750
Sc 0.333 0.667 0.750
Sc 0.667 0.333 0.250
Sn 0.023 0.672 0.750
Sn 0.328 0.351 0.750
Sn 0.351 0.023 0.250
Sn 0.649 0.977 0.750
Sn 0.672 0.649 0.250
Sn 0.977 0.328 0.250

Largest 12 diffraction maxima, most intense first, 15 to 90 degrees two-theta:
2θ (°)  Rel. int.
33.6  100
45.1  88
19.2  78
29.3  56
35.3  35
71.3  23
68.2  19
29.5  15
60.0  14
42.1  12
49.5  11
39.0  11

***

Entry 3:
The following is a computed powder X-ray diffraction pattern of Ho3Sc5Sn2. It was derived from a DFT-relaxed cell (GGA-PBE, Alexandria), using Cu Kα.
No peak broadening, texture or thermal motion is included.

Structural model:
Unit cell a=10.014 b=10.014 c=10.014 alpha=106.13 beta=84.59 gamma=144.73
Positions (direct):
Ho 0.226 0.118 0.344
Ho 0.250 0.250 0.000
Ho 0.274 0.618 0.892
Ho 0.726 0.382 0.108
Ho 0.750 0.750 0.000
Ho 0.774 0.882 0.656
Sc 0.160 0.391 0.550
Sc 0.250 0.508 0.258
Sc 0.250 0.750 0.500
Sc 0.250 0.992 0.742
Sc 0.340 0.891 0.231
Sc 0.660 0.109 0.769
Sc 0.750 0.008 0.258
Sc 0.750 0.250 0.500
Sc 0.750 0.492 0.742
Sc 0.840 0.609 0.450
Sn 0.150 0.851 0.002
Sn 0.350 0.351 0.701
Sn 0.650 0.649 0.299
Sn 0.850 0.149 0.998

Largest 12 diffraction maxima, most intense first, 15 to 90 degrees two-theta:
2θ (°)  Rel. int.
31.9  100
32.1  92
36.9  79
27.6  77
42.3  71
28.7  39
70.7  26
35.5  24
57.2  22
24.0  19
49.2  19
37.7  18

***

Entry 4:
The following is a computed powder X-ray diffraction pattern of HoSc3Sn. It was derived from a DFT-relaxed cell (GGA-PBE, Alexandria), using Cu Kα.
No peak broadening, texture or thermal motion is included.

Structural model:
Unit cell a=7.625 b=7.638 c=5.399 alpha=90.00 beta=90.00 gamma=90.00
Positions (direct):
Ho 0.000 0.000 0.000
Ho 0.500 0.500 0.000
Sc 0.000 0.500 0.000
Sc 0.243 0.243 0.500
Sc 0.257 0.743 0.500
Sc 0.500 0.000 0.000
Sc 0.743 0.257 0.500
Sc 0.757 0.757 0.500
Sn 0.000 0.500 0.500
Sn 0.500 0.000 0.500

Largest 12 diffraction maxima, most intense first, 15 to 90 degrees two-theta:
2θ (°)  Rel. int.
23.3  100
33.2  64
41.0  48
47.7  45
28.6  23
53.7  22
64.6  22
79.4  16
59.3  15
88.8  10
74.6  10
56.6  8

***

Entry 5:
The following is a computed powder X-ray diffraction pattern of Sr3Ho3ScTe8. It was derived from a DFT-relaxed cell (GGA-PBE, Alexandria), using Cu Kα.
No peak broadening, texture or thermal motion is included.

Structural model:
Unit cell a=9.169 b=9.169 c=9.169 alpha=57.41 beta=57.41 gamma=57.41
Positions (direct):
Sr 0.000 0.500 0.500
Sr 0.500 0.000 0.500
Sr 0.500 0.500 0.000
Ho 0.000 0.000 0.500
Ho 0.000 0.500 0.000
Ho 0.500 0.000 0.000
Sc 0.500 0.500 0.500
Te 0.243 0.243 0.243
Te 0.246 0.739 0.739
Te 0.261 0.261 0.754
Te 0.261 0.754 0.261
Te 0.739 0.246 0.739
Te 0.739 0.739 0.246
Te 0.754 0.261 0.261
Te 0.757 0.757 0.757

Largest 12 diffraction maxima, most intense first, 15 to 90 degrees two-theta:
2θ (°)  Rel. int.
28.1  100
39.4  38
41.0  37
50.4  20
66.9  17
64.7  15
58.1  12
73.6  12
47.7  7
36.2  6
74.7  6
70.3  5

***

Entry 6:
The following is a computed powder X-ray diffraction pattern of Tb2Ho12Sc5. It was derived from a DFT-relaxed cell (GGA-PBE, Alexandria), using Cu Kα.
No peak broadening, texture or thermal motion is included.

Structural model:
Unit cell a=8.975 b=8.975 c=10.798 alpha=106.35 beta=106.35 gamma=45.16
Positions (direct):
Tb 0.242 0.758 0.000
Tb 0.758 0.242 0.000
Ho 0.045 0.549 0.894
Ho 0.071 0.553 0.407
Ho 0.104 0.104 0.304
Ho 0.393 0.393 0.183
Ho 0.447 0.929 0.593
Ho 0.451 0.955 0.106
Ho 0.549 0.045 0.894
Ho 0.553 0.071 0.407
Ho 0.607 0.607 0.817
Ho 0.896 0.896 0.696
Ho 0.929 0.447 0.593
Ho 0.955 0.451 0.106
Sc 0.115 0.115 0.822
Sc 0.380 0.380 0.700
Sc 0.500 0.500 0.500
Sc 0.620 0.620 0.300
Sc 0.885 0.885 0.178

Largest 12 diffraction maxima, most intense first, 15 to 90 degrees two-theta:
2θ (°)  Rel. int.
33.2  100
32.5  50
31.4  43
31.2  36
64.1  29
34.6  25
35.1  22
28.3  21
35.5  19
58.5  16
43.3  14
63.7  14

***

Entry 7:
The following is a computed powder X-ray diffraction pattern of Tb2Ho3Sc4. It was derived from a DFT-relaxed cell (GGA-PBE, Alexandria), using Cu Kα.
No peak broadening, texture or thermal motion is included.

Structural model:
Unit cell a=9.655 b=9.655 c=5.839 alpha=95.00 beta=95.00 gamma=69.85
Positions (direct):
Tb 0.014 0.730 0.684
Tb 0.270 0.986 0.816
Tb 0.730 0.014 0.184
Tb 0.986 0.270 0.316
Ho 0.103 0.897 0.250
Ho 0.242 0.434 0.383
Ho 0.434 0.242 0.883
Ho 0.566 0.758 0.117
Ho 0.758 0.566 0.617
Ho 0.897 0.103 0.750
Sc 0.080 0.363 0.846
Sc 0.320 0.596 0.979
Sc 0.363 0.080 0.346
Sc 0.404 0.680 0.521
Sc 0.596 0.320 0.479
Sc 0.637 0.920 0.654
Sc 0.680 0.404 0.021
Sc 0.920 0.637 0.154

Largest 12 diffraction maxima, most intense first, 15 to 90 degrees two-theta:
2θ (°)  Rel. int.
33.1  100
31.8  63
39.5  56
31.9  52
32.4  45
18.7  25
29.6  24
58.2  21
22.2  20
52.0  17
30.7  17
24.2  17

***

Entry 8:
The following is a computed powder X-ray diffraction pattern of Tb8HoSc3. It was derived from a DFT-relaxed cell (GGA-PBE, Alexandria), using Cu Kα.
No peak broadening, texture or thermal motion is included.

Structural model:
Unit cell a=6.024 b=7.782 c=8.539 alpha=111.39 beta=90.07 gamma=104.93
Positions (direct):
Tb 0.000 0.000 0.000
Tb 0.079 0.750 0.582
Tb 0.161 0.493 0.163
Tb 0.411 0.748 0.918
Tb 0.492 0.488 0.497
Tb 0.745 0.745 0.249
Tb 0.825 0.491 0.833
Tb 0.910 0.241 0.414
Ho 0.658 0.000 0.668
Sc 0.246 0.243 0.748
Sc 0.329 0.997 0.333
Sc 0.573 0.243 0.082

Largest 12 diffraction maxima, most intense first, 15 to 90 degrees two-theta:
2θ (°)  Rel. int.
31.5  100
36.5  50
62.5  24
52.5  23
62.6  17
52.6  12
88.9  8
86.1  7
65.6  6
65.7  6
86.2  6
77.6  6

***

Entry 9:
The following is a computed powder X-ray diffraction pattern of Tb3Ho2Sc. It was derived from a DFT-relaxed cell (GGA-PBE, Alexandria), using Cu Kα.
No peak broadening, texture or thermal motion is included.

Structural model:
Unit cell a=7.828 b=7.828 c=4.942 alpha=90.00 beta=90.00 gamma=143.17
Positions (direct):
Tb 0.000 0.000 0.000
Tb 0.335 0.665 0.000
Tb 0.665 0.335 0.000
Ho 0.164 0.836 0.500
Ho 0.836 0.164 0.500
Sc 0.500 0.500 0.500

Largest 12 diffraction maxima, most intense first, 15 to 90 degrees two-theta:
2θ (°)  Rel. int.
31.3  100
36.3  50
62.3  42
52.3  35
85.6  17
65.4  12
88.4  8
88.3  8
77.2  4
26.2  3
18.9  3
21.6  2

***

Entry 10:
The following is a computed powder X-ray diffraction pattern of Tb8Ho3Sc3. It was derived from a DFT-relaxed cell (GGA-PBE, Alexandria), using Cu Kα.
No peak broadening, texture or thermal motion is included.

Structural model:
Unit cell a=8.533 b=8.533 c=9.939 alpha=102.17 beta=102.17 gamma=37.43
Positions (direct):
Tb 0.123 0.123 0.489
Tb 0.268 0.268 0.928
Tb 0.314 0.314 0.289
Tb 0.340 0.340 0.661
Tb 0.660 0.660 0.339
Tb 0.686 0.686 0.711
Tb 0.732 0.732 0.072
Tb 0.877 0.877 0.511
Ho 0.050 0.050 0.776
Ho 0.500 0.500 0.000
Ho 0.950 0.950 0.224
Sc 0.121 0.121 0.116
Sc 0.500 0.500 0.500
Sc 0.879 0.879 0.884

Largest 12 diffraction maxima, most intense first, 15 to 90 degrees two-theta:
2θ (°)  Rel. int.
32.7  100
32.2  73
33.4  53
31.6  50
26.2  31
27.4  25
42.4  21
34.4  19
53.8  15
64.6  15
23.5  14
33.3  13

***

Entry 11:
The following is a computed powder X-ray diffraction pattern of Tb2Ho3Sc8. It was derived from a DFT-relaxed cell (GGA-PBE, Alexandria), using Cu Kα.
No peak broadening, texture or thermal motion is included.

Structural model:
Unit cell a=8.115 b=8.115 c=6.579 alpha=105.76 beta=105.76 gamma=64.66
Positions (direct):
Tb 0.232 0.232 0.424
Tb 0.768 0.768 0.576
Ho 0.000 0.000 0.000
Ho 0.181 0.819 0.500
Ho 0.819 0.181 0.500
Sc 0.195 0.195 0.896
Sc 0.198 0.563 0.842
Sc 0.431 0.431 0.257
Sc 0.437 0.802 0.158
Sc 0.563 0.198 0.842
Sc 0.569 0.569 0.743
Sc 0.802 0.437 0.158
Sc 0.805 0.805 0.104

Largest 12 diffraction maxima, most intense first, 15 to 90 degrees two-theta:
2θ (°)  Rel. int.
30.8  100
33.3  95
33.9  80
32.8  70
34.5  56
36.1  51
27.5  50
26.2  43
24.7  43
26.6  42
56.8  36
44.8  35

***

Entry 12:
The following is a computed powder X-ray diffraction pattern of Tb3Ho2Sc3. It was derived from a DFT-relaxed cell (GGA-PBE, Alexandria), using Cu Kα.
No peak broadening, texture or thermal motion is included.

Structural model:
Unit cell a=8.365 b=8.365 c=8.365 alpha=42.70 beta=42.70 gamma=42.70
Positions (direct):
Tb 0.000 0.000 0.000
Tb 0.427 0.427 0.427
Tb 0.573 0.573 0.573
Ho 0.291 0.291 0.291
Ho 0.709 0.709 0.709
Sc 0.000 0.000 0.500
Sc 0.000 0.500 0.000
Sc 0.500 0.000 0.000

Largest 12 diffraction maxima, most intense first, 15 to 90 degrees two-theta:
2θ (°)  Rel. int.
29.3  100
32.3  95
53.9  45
31.7  39
44.2  25
52.0  21
70.6  20
60.8  19
17.3  16
34.2  14
37.6  13
67.7  13